Diffraction record for ScSb. The powder diffraction line list is theoretical, not measured: it uses DFT lattice parameters and positions (GGA-PBE) and Cu Kα, 1.54184 Å.
Kinematic intensities with the Lorentz-polarization factor, no thermal factor.

Atomic structure:
abc: 3.6293 3.6293 3.6293
angles: 90.00 90.00 90.00
Positions (direct):
Sc  0.0000  0.0000  0.0000
Sb  0.5000  0.5000  0.5000

The 8 most intense peaks (2θ from 10° to 80°), low angle first:
24.53°, I = 26; 34.96°, I = 100; 43.17°, I = 8; 50.28°, I = 17; 56.72°, I = 11; 62.71°, I = 34; 73.85°, I = 10; 79.17°, I = 5